NaSrIrF6: simulated PXRD pattern (Cu Ka), based on a crystal structure in Alexandria, relaxed with PBE.
No peak broadening, texture or thermal motion is included.

Principal peaks in the range 2θ from 10° to 90°, by angle:
- d 5.181, intensity 49
- d 4.490, intensity 100
- d 3.394, intensity 64
- d 2.991, intensity 53
- d 2.490, intensity 80
- d 1.796, intensity 69

Unit cell a=5.9828 b=5.9828 c=8.9826 alpha=90.00 beta=90.00 gamma=120.00
Element x y z (fractional)
Na  0.0000  0.0000  0.0000
Na  0.0000  0.0000  0.5000
Sr  0.3333  0.6667  0.2500
Sr  0.6667  0.3333  0.7500
Ir  0.3333  0.6667  0.7500
Ir  0.6667  0.3333  0.2500
F  0.0507  0.3745  0.6270
F  0.0507  0.6762  0.8730
F  0.3238  0.3745  0.8730
F  0.3238  0.9493  0.6270
F  0.3745  0.0507  0.1270
F  0.3745  0.3238  0.3730
F  0.6255  0.6762  0.6270
F  0.6255  0.9493  0.8730
F  0.6762  0.0507  0.3730
F  0.6762  0.6255  0.1270
F  0.9493  0.3238  0.1270
F  0.9493  0.6255  0.3730